Record 1
This entry pairs a crystal structure of Li2Zn2Ni4C with its calculated powder X-ray diffraction pattern. Radiation: Cu Kα (λ = 1.5418 Å). Structure: the PBE geometry in Alexandria.

Structural model:
a b c (Å): 5.117 5.117 7.679
angles (deg): 90.00 90.00 90.00
Space group I4/mmm (No. 139)
Asymmetric unit:
Li 0.000 0.000 0.234
Zn 0.000 0.500 0.250
Ni 0.247 0.247 0.000
C 0.000 0.000 0.500

Main lines, most intense first (2θ from 10° to 90°):
h k l  Position (°2θ)  I_rel
2 0 2  42.5  100
2 2 0  50.4  32
1 1 2  34.0  24
4 2 2  89.3  21
2 2 4  71.7  21
0 0 4  47.4  20



Record 2
This entry pairs a crystal structure of Li2CO3 with its calculated powder X-ray diffraction pattern. Radiation: Cu Kα (λ = 1.5418 Å). Structure: the PBE geometry in Alexandria.

Structural model:
a b c (Å): 8.412 5.043 6.344
angles (deg): 90.00 114.24 90.00
Space group C2/c (No. 15)
Asymmetric unit:
Li 0.199 0.051 0.339
C 0.000 0.435 0.750
O 0.000 0.180 0.750
O 0.147 0.435 0.315

Main lines, most intense first (2θ from 10° to 90°):
h k l  Position (°2θ)  I_rel
0 0 2  30.9  100
2 0 -2  30.1  79
1 1 0  21.1  71
3 1 -1  36.7  39
1 1 -2  33.4  29
1 1 1  28.9  24



Record 3
This entry pairs a crystal structure of LiPrPCO7 with its calculated powder X-ray diffraction pattern. Radiation: Cu Kα (λ = 1.5418 Å). Structure: the PBE geometry in Alexandria.

Structural model:
a b c (Å): 4.780 7.129 9.555
angles (deg): 90.00 101.77 90.00
Space group P2_1 (No. 4)
Asymmetric unit:
Li 0.039 0.000 0.253
Pr 0.257 0.529 0.170
P 0.408 0.030 0.082
C 0.149 0.135 0.557
O 0.000 0.197 0.646
O 0.057 0.163 0.424
O 0.260 0.027 0.920
O 0.268 0.531 0.917
O 0.312 0.203 0.158
O 0.319 0.857 0.160
O 0.383 0.049 0.603

Main lines, most intense first (2θ from 10° to 90°):
h k l  Position (°2θ)  I_rel
0 1 1  15.6  100
1 0 1  22.9  73
0 2 0  25.0  67
1 1 -2  27.1  38
1 1 0  22.7  38
1 0 -2  24.0  34